No. 1
Diffraction record for Li2SnB2O6. The powder diffraction line list is calculated, not measured: it uses a PBE-relaxed structure and λ = 1.5418 Å (Cu Kα).
Peak positions follow from Bragg's law for the DFT cell and can differ from measured ones.

Atomic structure:
```
data_Li2SnB2O6
_cell_length_a 8.1545
_cell_length_b 6.5075
_cell_length_c 9.9428
_cell_angle_alpha 90.00
_cell_angle_beta 115.82
_cell_angle_gamma 90.00
_space_group_name_H-M_alt 'P 1 c 1'
_space_group_IT_number 7
_space_group_name_Hall 'P -2yc'
loop_
_atom_site_label
_atom_site_type_symbol
_atom_site_fract_x
_atom_site_fract_y
_atom_site_fract_z
Li1 Li 0.0000 0.0021 0.0000
Li2 Li 0.1596 0.3305 0.1621
Li3 Li 0.6240 0.0235 0.4700
Li4 Li 0.8360 0.4934 0.0232
Sn1 Sn 0.2381 0.2096 0.8245
Sn2 Sn 0.6069 0.2965 0.1884
B1 B 0.3582 0.0751 0.6375
B2 B 0.5025 0.4188 0.4060
B3 B 0.8945 0.1058 0.2148
B4 B 0.9606 0.4087 0.8244
O1 O 0.0371 0.4454 0.7242
O2 O 0.0640 0.0465 0.2290
O3 O 0.0702 0.2769 0.9419
O4 O 0.2019 0.1863 0.5807
O5 O 0.4123 0.4027 0.2496
O6 O 0.4237 0.0529 0.0571
O7 O 0.4341 0.4319 0.9706
O8 O 0.4479 0.0714 0.7927
O9 O 0.6524 0.3077 0.4833
O10 O 0.7809 0.2129 0.0839
O11 O 0.7983 0.4804 0.8134
O12 O 0.8160 0.0784 0.3114
```

Most intense lines, 2θ = 10–90°, by angle:
2theta  I_rel  index
16.84  244  0 1 1
18.05  1000  1 1 -1
18.20  190  1 0 -2
19.84  208  0 0 2
23.18  381  1 1 1
33.03  238  0 1 3
38.58  169  3 1 -3
39.21  190  1 2 2



No. 2
Diffraction record for SrCo2Ge2. The powder diffraction line list is calculated, not measured: it uses a PBE-relaxed structure and λ = 1.5418 Å (Cu Kα).
Peak positions follow from Bragg's law for the DFT cell and can differ from measured ones.

Atomic structure:
```
data_SrCo2Ge2
_cell_length_a 4.0334
_cell_length_b 4.0334
_cell_length_c 10.9841
_cell_angle_alpha 90.00
_cell_angle_beta 90.00
_cell_angle_gamma 90.00
_space_group_name_H-M_alt 'I 4/m m m'
_space_group_IT_number 139
_space_group_name_Hall '-I 4 2'
loop_
_atom_site_label
_atom_site_type_symbol
_atom_site_fract_x
_atom_site_fract_y
_atom_site_fract_z
Sr1 Sr 0.0000 0.0000 0.0000
Co1 Co 0.0000 0.5000 0.2500
Ge1 Ge 0.0000 0.0000 0.3590
```

Most intense lines, 2θ = 10–90°, by angle:
2theta  I_rel  index
31.37  152  1 1 0
33.04  1000  1 0 3
35.47  560  1 1 2
44.95  559  2 0 0
45.87  242  1 1 4
56.91  411  2 1 3
60.05  305  1 1 6
65.45  174  2 2 0



No. 3
Diffraction record for Gd3OsO7. The powder diffraction line list is calculated, not measured: it uses a PBE-relaxed structure and λ = 1.5418 Å (Cu Kα).
Peak positions follow from Bragg's law for the DFT cell and can differ from measured ones.

Atomic structure:
```
data_Gd3OsO7
_cell_length_a 10.7270
_cell_length_b 7.4342
_cell_length_c 7.4468
_cell_angle_alpha 90.00
_cell_angle_beta 90.00
_cell_angle_gamma 90.00
_space_group_name_H-M_alt 'C m c m'
_space_group_IT_number 63
_space_group_name_Hall '-C 2c 2'
loop_
_atom_site_label
_atom_site_type_symbol
_atom_site_fract_x
_atom_site_fract_y
_atom_site_fract_z
Gd1 Gd 0.0000 0.0000 0.0000
Gd2 Gd 0.2282 0.2947 0.2500
Os1 Os 0.0000 0.5000 0.0000
O1 O 0.0000 0.4241 0.2500
O2 O 0.1274 0.3091 0.5372
O3 O 0.1323 0.0247 0.2500
```

Most intense lines, 2θ = 10–90°, by angle:
2theta  I_rel  index
29.21  1000  2 0 2
33.41  127  4 0 0
34.08  238  0 2 2
48.47  258  4 2 2
48.95  126  0 0 4
57.16  116  6 0 2
58.04  229  2 2 4
60.57  85  4 0 4